Calculated XRD peak list of LiNiPO4 for Cu Ka, from a cell relaxed with GGA+U.

Cell and atoms:
abc: 8.1413 17.9754 4.9445
angles: 90.00 90.00 90.00
Space group Pna2_1 (No. 33)
Inequivalent atoms, fractional coordinates:
Li1 0.0856 0.0562 0.0000
Li2 0.1273 0.2607 0.9045
Ni1 0.0111 0.4318 0.4006
Ni2 0.1508 0.8464 0.9060
P1 0.2000 0.1822 0.3703
P2 0.2346 0.4312 0.8693
O1 0.0531 0.1466 0.2076
O2 0.0801 0.4738 0.7592
O3 0.1072 0.9681 0.2737
O4 0.1430 0.6397 0.7928
O5 0.1573 0.1800 0.6702
O6 0.2174 0.3519 0.7457
O7 0.2194 0.2630 0.2604
O8 0.2229 0.4285 0.1860

Principal peaks in the range 15 to 90 degrees two-theta, in order of rising 2θ:
hkl 1 3 0, 18.39°, intensity 56; hkl 0 1 1, 18.61°, intensity 100; hkl 0 4 0, 19.76°, intensity 21; hkl 1 4 0, 22.60°, intensity 25; hkl 2 2 0, 24.00°, intensity 26; hkl 1 4 1, 29.00°, intensity 62; hkl 2 3 1, 32.16°, intensity 42; hkl 0 0 2, 36.34°, intensity 30; hkl 1 7 0, 36.72°, intensity 24; hkl 2 5 1, 38.03°, intensity 26; hkl 3 2 1, 39.17°, intensity 38; hkl 2 5 3, 66.52°, intensity 15